This entry pairs a crystal structure of BaUSO2 with its theoretical powder XRD pattern. Radiation: Cu Kα. Structure: the GGA-PBE geometry in Alexandria.
No peak broadening, texture or thermal motion is included.

Principal peaks in the range 2θ from 10° to 90°, sorted by position:
d/Å, 2θ (°), Rel. int., (hkl)
5.734, 15.5, 21, 0 0 1
3.478, 25.6, 100, 1 0 1
3.093, 28.9, 51, 1 1 0
2.867, 31.2, 17, 0 0 2
2.398, 37.5, 31, 1 0 2
2.187, 41.3, 27, 2 0 0
2.103, 43.0, 23, 1 1 2
1.851, 49.2, 36, 2 1 1
1.616, 57.0, 19, 2 1 2
1.362, 69.0, 17, 1 0 4

Cell and atoms:
abc: 4.3741 4.3741 5.7343
angles: 90.00 90.00 90.00
Space group P4mm (No. 99)
Symmetry-distinct sites (fractional):
Ba 0.0000 0.0000 0.0000 (multiplicity 1)
U 0.5000 0.5000 0.3854 (multiplicity 1)
S 0.5000 0.5000 0.8672 (multiplicity 1)
O 0.0000 0.5000 0.3239 (multiplicity 2)

=====

This entry pairs a crystal structure of Ta2ZnNi6 with its theoretical powder XRD pattern. Radiation: Cu Kα. Structure: the GGA-PBE geometry in Alexandria.
No peak broadening, texture or thermal motion is included.

Principal peaks in the range 2θ from 10° to 90°, sorted by position:
d/Å, 2θ (°), Rel. int., (hkl)
3.361, 26.5, 28, 1 0 1
2.480, 36.2, 30, 1 1 0
2.285, 39.4, 89, 0 1 2
2.253, 40.0, 61, 1 1 1
2.147, 42.1, 19, 2 0 0
1.995, 45.5, 100, 2 0 1
1.660, 55.4, 18, 0 1 3
1.456, 63.9, 18, 1 1 3
1.391, 67.3, 29, 1 2 2
1.240, 76.9, 22, 2 2 0

Cell and atoms:
abc: 4.9594 4.9594 5.3979
angles: 90.00 90.00 120.00
Space group P-3m1 (No. 164)
Symmetry-distinct sites (fractional):
Ta 0.3333 0.6667 0.1444 (multiplicity 2)
Zn 0.0000 0.0000 0.0000 (multiplicity 1)
Ni 0.1758 0.3517 0.6732 (multiplicity 6)

=====

This entry pairs a crystal structure of KTaAgS4 with its theoretical powder XRD pattern. Radiation: Cu Kα. Structure: the GGA-PBE geometry in Alexandria.
No peak broadening, texture or thermal motion is included.

Principal peaks in the range 2θ from 10° to 90°, sorted by position:
d/Å, 2θ (°), Rel. int., (hkl)
5.719, 15.5, 100, 0 1 1
4.557, 19.5, 41, 0 0 2
3.673, 24.2, 27, 0 2 0
2.807, 31.9, 15, 0 1 3
2.696, 33.2, 17, 2 1 0
2.617, 34.3, 20, 2 1 -2
2.365, 38.1, 12, 0 3 1
2.323, 38.8, 9, 2 2 -1
2.107, 42.9, 21, 2 2 1
2.033, 44.6, 16, 2 2 -3

Cell and atoms:
abc: 6.0067 7.3450 9.4443
angles: 90.00 105.20 90.00
Space group P2_1/m (No. 11)
Symmetry-distinct sites (fractional):
K 0.1505 0.2500 0.3475 (multiplicity 2)
Ta 0.3542 0.7500 0.2304 (multiplicity 2)
Ag 0.1529 0.2500 0.7815 (multiplicity 2)
S 0.0536 0.7500 0.0226 (multiplicity 2)
S 0.2099 0.7500 0.4338 (multiplicity 2)
S 0.4266 0.5057 0.7647 (multiplicity 4)

=====

This entry pairs a crystal structure of BeCuRh2O6 with its theoretical powder XRD pattern. Radiation: Cu Kα. Structure: the GGA-PBE geometry in Alexandria.
No peak broadening, texture or thermal motion is included.

Principal peaks in the range 2θ from 10° to 90°, sorted by position:
d/Å, 2θ (°), Rel. int., (hkl)
4.772, 18.6, 37, 0 0 1
3.404, 26.2, 11, 1 1 0
2.771, 32.3, 100, 1 1 1
2.407, 37.4, 28, 2 0 0
2.150, 42.0, 16, 2 0 1
1.954, 46.5, 16, 1 1 2
1.702, 53.9, 20, 2 2 0
1.695, 54.1, 27, 2 0 2
1.450, 64.2, 26, 3 1 1
1.441, 64.7, 11, 1 1 3

Cell and atoms:
abc: 4.8144 4.8144 4.7716
angles: 90.00 90.00 90.00
Space group P4mm (No. 99)
Symmetry-distinct sites (fractional):
Be 0.0000 0.0000 0.0000 (multiplicity 1)
Cu 0.5000 0.5000 0.9235 (multiplicity 1)
Rh 0.0000 0.5000 0.3755 (multiplicity 2)
O 0.0000 0.0000 0.6663 (multiplicity 1)
O 0.2416 0.2416 0.1564 (multiplicity 4)
O 0.5000 0.5000 0.5536 (multiplicity 1)

=====

This entry pairs a crystal structure of Pm4Se4I3 with its theoretical powder XRD pattern. Radiation: Cu Kα. Structure: the GGA-PBE geometry in Alexandria.
No peak broadening, texture or thermal motion is included.

Principal peaks in the range 2θ from 10° to 90°, sorted by position:
d/Å, 2θ (°), Rel. int., (hkl)
3.162, 28.2, 27, 0 1 5
3.030, 29.5, 100, 1 2 1
2.876, 31.1, 71, 1 1 4
2.369, 38.0, 30, 0 2 6
2.318, 38.8, 24, 1 3 2
2.281, 39.5, 16, 1 2 5
2.192, 41.2, 28, 2 0 0
2.164, 41.7, 16, 0 4 0
1.609, 57.3, 27, 2 2 6
1.505, 61.6, 20, 1 5 4

Cell and atoms:
abc: 4.3838 8.6548 16.9825
angles: 90.00 90.00 90.00
Space group Immm (No. 71)
Symmetry-distinct sites (fractional):
Pm 0.0000 0.0000 0.2308 (multiplicity 4)
Pm 0.0000 0.2171 0.5000 (multiplicity 4)
Se 0.0000 0.2982 0.3317 (multiplicity 8)
I 0.0000 0.0000 0.0000 (multiplicity 2)
I 0.0000 0.5000 0.0990 (multiplicity 4)

=====

This entry pairs a crystal structure of VAu3Br9 with its theoretical powder XRD pattern. Radiation: Cu Kα. Structure: the GGA-PBE geometry in Alexandria.
No peak broadening, texture or thermal motion is included.

Principal peaks in the range 2θ from 10° to 90°, sorted by position:
d/Å, 2θ (°), Rel. int., (hkl)
6.966, 12.7, 41, 1 1 -1
6.356, 13.9, 57, 2 0 -2
6.061, 14.6, 100, 1 1 1
5.189, 17.1, 52, 1 1 -2
4.614, 19.2, 46, 3 1 -2
3.801, 23.4, 32, 2 2 -1
3.398, 26.2, 41, 3 1 2
3.178, 28.1, 85, 4 0 2
2.712, 33.0, 44, 1 3 -1
2.561, 35.0, 42, 1 3 -2

Cell and atoms:
abc: 20.1251 8.3274 13.2866
angles: 90.00 112.26 90.00
Space group Cc (No. 9)
Symmetry-distinct sites (fractional):
V 0.0000 0.2389 0.0000 (multiplicity 4)
Au 0.2306 0.2660 0.0540 (multiplicity 4)
Au 0.2954 0.0897 0.8693 (multiplicity 4)
Au 0.3763 0.4626 0.7704 (multiplicity 4)
Br 0.0065 0.0458 0.3913 (multiplicity 4)
Br 0.0662 0.3470 0.9012 (multiplicity 4)
Br 0.0994 0.1494 0.1490 (multiplicity 4)
Br 0.2201 0.0040 0.9657 (multiplicity 4)
Br 0.2451 0.4730 0.6443 (multiplicity 4)
Br 0.3702 0.1512 0.7672 (multiplicity 4)
Br 0.3858 0.2307 0.2930 (multiplicity 4)
Br 0.4104 0.4091 0.5395 (multiplicity 4)
Br 0.4772 0.0170 0.5668 (multiplicity 4)

=====

This entry pairs a crystal structure of Tb2Dy6Tl with its theoretical powder XRD pattern. Radiation: Cu Kα. Structure: the GGA-PBE geometry in Alexandria.
No peak broadening, texture or thermal motion is included.

Principal peaks in the range 2θ from 10° to 90°, sorted by position:
d/Å, 2θ (°), Rel. int., (hkl)
3.066, 29.1, 47, 1 2 -3
2.792, 32.1, 69, 0 2 2
2.713, 33.0, 100, 2 1 0
2.697, 33.2, 92, 1 -1 3
2.679, 33.5, 91, 1 -3 1
2.074, 43.6, 28, 1 0 -5
1.596, 57.8, 39, 2 3 2
1.507, 61.5, 21, 3 0 3
1.501, 61.8, 21, 3 4 -2
1.496, 62.0, 24, 0 2 -7

Cell and atoms:
abc: 6.2079 8.9564 10.9266
angles: 108.41 106.48 90.04
Space group P-1 (No. 2)
Symmetry-distinct sites (fractional):
Tb 0.0543 0.3046 0.4454 (multiplicity 2)
Tb 0.3913 0.8042 0.4452 (multiplicity 2)
Dy 0.0411 0.4715 0.7830 (multiplicity 2)
Dy 0.1738 0.0832 0.6747 (multiplicity 2)
Dy 0.2588 0.0285 0.2175 (multiplicity 2)
Dy 0.2749 0.8650 0.8932 (multiplicity 2)
Dy 0.3833 0.6360 0.1069 (multiplicity 2)
Dy 0.4993 0.4165 0.3246 (multiplicity 2)
Tl 0.1654 0.2500 0.9998 (multiplicity 2)

=====

This entry pairs a crystal structure of K3Zn2Sn2 with its theoretical powder XRD pattern. Radiation: Cu Kα. Structure: the GGA-PBE geometry in Alexandria.
No peak broadening, texture or thermal motion is included.

Principal peaks in the range 2θ from 10° to 90°, sorted by position:
d/Å, 2θ (°), Rel. int., (hkl)
6.927, 12.8, 31, 1 0 0
5.129, 17.3, 92, 1 0 2
3.335, 26.7, 17, 0 2 3
3.227, 27.6, 29, 2 1 0
3.152, 28.3, 22, 2 0 2
3.006, 29.7, 18, 1 2 3
2.884, 31.0, 25, 0 2 4
2.721, 32.9, 100, 1 3 0
2.662, 33.7, 31, 1 2 4
2.197, 41.1, 18, 0 2 6

Cell and atoms:
abc: 6.9273 8.8748 15.1793
angles: 90.00 90.00 90.00
Space group Pbcm (No. 57)
Symmetry-distinct sites (fractional):
K 0.1211 0.1080 0.0999 (multiplicity 8)
K 0.3227 0.7212 0.7500 (multiplicity 4)
Zn 0.3857 0.0319 0.5965 (multiplicity 8)
Sn 0.1961 0.0921 0.7500 (multiplicity 4)
Sn 0.4071 0.7500 0.0000 (multiplicity 4)